(1)
This entry pairs a crystal structure of Ta5SiB2 with its simulated XRD peak list. Radiation: λ = 1.5418 Å (Cu Kα). Structure: a crystal structure in Alexandria, relaxed with PBE.
Intensities are scaled so that the largest is 100.

Peak list (12 most intense, 2θ from 10° to 90°, sorted by position)
d/Å, two_theta, I/Imax, (hkl)
3.516, 25.3, 20.7, 1 1 2
2.908, 30.8, 22.1, 0 0 4
2.750, 32.6, 17.7, 2 0 2
2.714, 33.0, 81.5, 2 1 1
2.428, 37.0, 35.9, 1 1 4
2.265, 39.8, 100.0, 2 1 3
2.207, 40.9, 15.8, 2 2 0
2.127, 42.5, 56.0, 2 0 4
1.974, 46.0, 47.8, 3 1 0
1.428, 65.4, 32.0, 2 1 7
1.410, 66.3, 22.2, 4 1 3
1.313, 71.9, 30.2, 3 3 4

Structural model:
a b c (Å): 6.242 6.242 11.630
angles (deg): 90.00 90.00 90.00
Space group I4/mcm (No. 140)
One atom of each set of equivalent atoms:
Ta 0.000 0.000 0.000
Ta 0.167 0.333 0.139
Si 0.000 0.000 0.250
B 0.117 0.383 0.500

---

(2)
This entry pairs a crystal structure of SiTc2B with its simulated XRD peak list. Radiation: λ = 1.5418 Å (Cu Kα). Structure: a crystal structure in Alexandria, relaxed with PBE.
Intensities are scaled so that the largest is 100.

Peak list (12 most intense, 2θ from 10° to 90°, sorted by position)
d/Å, two_theta, I/Imax, (hkl)
5.268, 16.8, 36.9, 1 0 0
3.054, 29.2, 19.8, 0 0 2
2.662, 33.7, 24.6, 0 1 1
2.634, 34.0, 26.5, 2 0 0
2.455, 36.6, 100.0, 1 1 -1
2.304, 39.1, 53.7, 1 1 1
2.274, 39.6, 33.5, 2 0 1
2.200, 41.0, 52.2, 2 0 -2
2.125, 42.5, 42.4, 0 1 2
2.036, 44.5, 33.6, 0 0 3
1.950, 46.6, 22.6, 2 1 -1
1.890, 48.1, 25.5, 1 1 2

Structural model:
a b c (Å): 5.355 2.958 6.209
angles (deg): 90.00 100.36 90.00
Space group P2_1/m (No. 11)
One atom of each set of equivalent atoms:
Si 0.083 0.250 0.326
Tc 0.278 0.250 0.986
Tc 0.349 0.750 0.619
B 0.350 0.750 0.256

---

(3)
This entry pairs a crystal structure of SiTcB with its simulated XRD peak list. Radiation: λ = 1.5418 Å (Cu Kα). Structure: a crystal structure in Alexandria, relaxed with PBE.
Intensities are scaled so that the largest is 100.

Peak list (12 most intense, 2θ from 10° to 90°, sorted by position)
d/Å, two_theta, I/Imax, (hkl)
4.594, 19.3, 83.3, 1 1 1
2.853, 31.4, 21.5, 1 1 3
2.573, 34.9, 38.5, 0 0 4
2.551, 35.2, 52.7, 1 3 1
2.297, 39.2, 100.0, 2 2 2
2.089, 43.3, 32.7, 1 3 3
2.022, 44.8, 19.8, 3 1 1
1.911, 47.6, 26.8, 1 1 5
1.767, 51.7, 23.8, 3 1 3
1.659, 55.4, 18.1, 0 4 4
1.426, 65.4, 21.3, 2 2 6
1.284, 73.8, 15.2, 4 4 0

Structural model:
a b c (Å): 6.368 8.676 10.294
angles (deg): 90.00 90.00 90.00
Space group Fddd (No. 70, origin choice 2)
One atom of each set of equivalent atoms:
Si 0.125 0.125 0.304
Tc 0.000 0.000 0.500
B 0.015 0.375 0.375

---

(4)
This entry pairs a crystal structure of USiB2 with its simulated XRD peak list. Radiation: λ = 1.5418 Å (Cu Kα). Structure: a crystal structure in Alexandria, relaxed with PBE.
Intensities are scaled so that the largest is 100.

Peak list (12 most intense, 2θ from 10° to 90°, sorted by position)
d/Å, two_theta, I/Imax, (hkl)
4.196, 21.2, 52.1, 0 0 3
3.074, 29.1, 86.4, 1 0 1
2.831, 31.6, 100.0, 0 1 2
2.233, 40.4, 63.9, 1 0 4
2.098, 43.1, 15.6, 0 0 6
1.971, 46.0, 27.9, 0 1 5
1.830, 49.8, 36.0, 1 1 0
1.677, 54.7, 28.4, 1 1 3
1.537, 60.2, 17.0, 2 0 2
1.415, 66.0, 15.5, 0 2 4
1.379, 68.0, 25.5, 1 1 6
1.120, 87.0, 15.8, 2 1 4

Structural model:
a b c (Å): 3.6600 3.6600 12.5877
angles (deg): 90.00 90.00 120.00
Space group R-3m (No. 166, hexagonal axes)
One atom of each set of equivalent atoms:
U 0.0000 0.0000 0.0000
Si 0.0000 0.0000 0.5000
B 0.0000 0.0000 0.2193

---

(5)
This entry pairs a crystal structure of VSi2B2 with its simulated XRD peak list. Radiation: λ = 1.5418 Å (Cu Kα). Structure: a crystal structure in Alexandria, relaxed with PBE.
Intensities are scaled so that the largest is 100.

Peak list (12 most intense, 2θ from 10° to 90°, sorted by position)
d/Å, two_theta, I/Imax, (hkl)
7.203, 12.3, 34.8, 0 0 2
2.341, 38.5, 100.0, 1 0 3
1.962, 46.3, 45.6, 1 0 5
1.895, 48.0, 24.7, 1 1 0
1.833, 49.7, 18.8, 1 1 2
1.801, 50.7, 17.3, 0 0 8
1.488, 62.4, 13.2, 1 1 6
1.340, 70.2, 12.8, 2 0 0
1.305, 72.4, 13.5, 1 1 8
1.177, 81.9, 11.6, 1 0 11
1.163, 83.0, 19.1, 2 1 3
1.107, 88.3, 13.2, 2 1 5

Structural model:
a b c (Å): 2.681 2.681 14.405
angles (deg): 90.00 90.00 90.00
Space group I4/mmm (No. 139)
One atom of each set of equivalent atoms:
V 0.000 0.000 0.000
Si 0.000 0.000 0.370
B 0.000 0.500 0.250

---

(6)
This entry pairs a crystal structure of Si3B3W10 with its simulated XRD peak list. Radiation: λ = 1.5418 Å (Cu Kα). Structure: a crystal structure in Alexandria, relaxed with PBE.
Intensities are scaled so that the largest is 100.

Peak list (12 most intense, 2θ from 10° to 90°, sorted by position)
d/Å, two_theta, I/Imax, (hkl)
2.789, 32.1, 26.9, 0 4 0
2.705, 33.1, 82.7, 1 1 3
2.668, 33.6, 63.5, 3 1 1
2.358, 38.2, 34.6, 0 4 2
2.346, 38.4, 22.1, 2 4 0
2.231, 40.4, 81.2, 1 3 3
2.210, 40.8, 100.0, 3 3 1
2.072, 43.7, 67.5, 2 4 2
1.968, 46.1, 55.8, 2 0 4
1.947, 46.7, 26.9, 4 0 2
1.379, 68.0, 22.6, 3 7 1
1.353, 69.5, 22.7, 4 4 4

Structural model:
a b c (Å): 8.675 11.154 8.834
angles (deg): 90.00 90.00 90.00
Space group Fmm2 (No. 42)
One atom of each set of equivalent atoms:
Si 0.000 0.000 0.000
Si 0.250 0.250 0.385
B 0.000 0.000 0.262
B 0.125 0.000 0.628
W 0.000 0.141 0.470
W 0.000 0.146 0.777
W 0.171 0.143 0.136
W 0.243 0.000 0.377

---

(7)
This entry pairs a crystal structure of Y2SiB3 with its simulated XRD peak list. Radiation: λ = 1.5418 Å (Cu Kα). Structure: a crystal structure in Alexandria, relaxed with PBE.
Intensities are scaled so that the largest is 100.

Peak list (12 most intense, 2θ from 10° to 90°, sorted by position)
d/Å, two_theta, I/Imax, (hkl)
4.054, 21.9, 24.4, 0 2 0
2.962, 30.2, 51.2, 2 0 2
2.392, 37.6, 100.0, 0 2 4
2.027, 44.7, 12.5, 0 4 0
1.710, 53.6, 21.3, 4 0 0
1.673, 54.9, 18.6, 2 4 2
1.576, 58.6, 11.1, 4 2 0
1.481, 62.7, 6.2, 0 0 8
1.391, 67.3, 16.8, 4 2 4
1.307, 72.3, 16.8, 4 4 0
1.229, 77.7, 11.0, 0 6 4
1.196, 80.3, 5.9, 0 4 8

Structural model:
a b c (Å): 6.847 8.108 11.838
angles (deg): 90.00 90.00 90.00
Space group Fmmm (No. 69)
One atom of each set of equivalent atoms:
Y 0.000 0.245 0.000
Y 0.250 0.250 0.250
Si 0.000 0.000 0.334
B 0.000 0.000 0.154
B 0.231 0.000 0.077

---

(8)
This entry pairs a crystal structure of TbSmB4 with its simulated XRD peak list. Radiation: λ = 1.5418 Å (Cu Kα). Structure: a crystal structure in Alexandria, relaxed with PBE.
Intensities are scaled so that the largest is 100.

Peak list (12 most intense, 2θ from 10° to 90°, sorted by position)
d/Å, two_theta, I/Imax, (hkl)
3.972, 22.4, 47.3, 0 0 2
2.874, 31.1, 72.6, 1 1 0
2.328, 38.7, 100.0, 1 1 2
1.986, 45.7, 11.3, 0 0 4
1.659, 55.4, 18.9, 2 0 0
1.634, 56.3, 27.9, 1 1 4
1.531, 60.5, 20.6, 2 0 2
1.437, 64.9, 9.1, 2 2 0
1.351, 69.6, 17.5, 2 2 2
1.273, 74.5, 15.6, 2 0 4
1.202, 79.8, 12.1, 1 1 6
1.164, 82.9, 9.3, 2 2 4

Structural model:
a b c (Å): 3.317 5.750 7.943
angles (deg): 90.00 90.00 90.00
Space group Immm (No. 71)
One atom of each set of equivalent atoms:
Tb 0.000 0.000 0.000
Sm 0.000 0.000 0.500
B 0.000 0.333 0.251

---

(9)
This entry pairs a crystal structure of Sm2Tc5B4 with its simulated XRD peak list. Radiation: λ = 1.5418 Å (Cu Kα). Structure: a crystal structure in Alexandria, relaxed with PBE.
Intensities are scaled so that the largest is 100.

Peak list (12 most intense, 2θ from 10° to 90°, sorted by position)
d/Å, two_theta, I/Imax, (hkl)
2.965, 30.1, 54.8, 1 1 3
2.671, 33.6, 45.9, 0 4 0
2.538, 35.4, 38.5, 0 2 4
2.328, 38.7, 100.0, 2 2 0
1.925, 47.2, 22.7, 2 0 4
1.757, 52.1, 13.3, 1 5 3
1.561, 59.2, 19.4, 2 4 4
1.555, 59.4, 9.9, 3 1 3
1.466, 63.4, 15.9, 2 6 0
1.438, 64.8, 9.3, 3 3 3
1.336, 70.5, 9.6, 0 8 0
1.226, 77.9, 9.0, 2 2 8

Structural model:
a b c (Å): 5.168 10.683 11.540
angles (deg): 90.00 90.00 90.00
Space group Fmmm (No. 69)
One atom of each set of equivalent atoms:
Sm 0.000 0.000 0.150
Tc 0.000 0.000 0.500
Tc 0.250 0.250 0.000
Tc 0.250 0.250 0.250
B 0.000 0.144 0.366

---

(10)
This entry pairs a crystal structure of SmTc3B2 with its simulated XRD peak list. Radiation: λ = 1.5418 Å (Cu Kα). Structure: a crystal structure in Alexandria, relaxed with PBE.
Intensities are scaled so that the largest is 100.

Peak list (12 most intense, 2θ from 10° to 90°, sorted by position)
d/Å, two_theta, I/Imax, (hkl)
3.166, 28.2, 6.8, 0 0 1
2.644, 33.9, 78.1, 1 0 1
2.403, 37.4, 100.0, 2 0 0
2.086, 43.4, 47.0, 1 1 1
1.914, 47.5, 12.7, 2 0 1
1.583, 58.3, 9.9, 0 0 2
1.575, 58.6, 32.4, 2 1 1
1.429, 65.3, 13.6, 3 0 1
1.387, 67.5, 18.9, 2 2 0
1.322, 71.4, 29.3, 2 0 2
1.228, 77.8, 14.0, 3 1 1
1.201, 79.8, 10.7, 4 0 0

Structural model:
a b c (Å): 5.5484 5.5484 3.1660
angles (deg): 90.00 90.00 120.00
Space group P6/mmm (No. 191)
One atom of each set of equivalent atoms:
Sm 0.0000 0.0000 0.0000
Tc 0.0000 0.5000 0.5000
B 0.3333 0.6667 0.0000

---

(11)
This entry pairs a crystal structure of Sm2TcB10 with its simulated XRD peak list. Radiation: λ = 1.5418 Å (Cu Kα). Structure: a crystal structure in Alexandria, relaxed with PBE.
Intensities are scaled so that the largest is 100.

Peak list (12 most intense, 2θ from 10° to 90°, sorted by position)
d/Å, two_theta, I/Imax, (hkl)
4.192, 21.2, 15.5, 0 0 1
4.073, 21.8, 70.4, 1 2 0
3.253, 27.4, 24.1, 1 1 1
3.192, 27.9, 12.0, 1 3 0
2.921, 30.6, 100.0, 1 2 1
2.377, 37.8, 49.9, 2 0 1
2.370, 38.0, 54.3, 0 4 1
2.096, 43.2, 19.2, 0 0 2
2.036, 44.5, 32.1, 2 4 0
1.864, 48.9, 27.4, 1 2 2
1.668, 55.0, 13.4, 1 6 1
1.461, 63.7, 17.0, 2 4 2

Structural model:
a b c (Å): 5.772 11.496 4.192
angles (deg): 90.00 90.00 90.00
Space group Pbam (No. 55)
One atom of each set of equivalent atoms:
Sm 0.219 0.133 0.000
Tc 0.000 0.500 0.500
B 0.063 0.307 0.500
B 0.119 0.958 0.500
B 0.129 0.802 0.500
B 0.226 0.381 0.200

---

(12)
This entry pairs a crystal structure of SmBTe with its simulated XRD peak list. Radiation: λ = 1.5418 Å (Cu Kα). Structure: a crystal structure in Alexandria, relaxed with PBE.
Intensities are scaled so that the largest is 100.

Peak list (12 most intense, 2θ from 10° to 90°, sorted by position)
d/Å, two_theta, I/Imax, (hkl)
3.623, 24.6, 70.0, 1 1 0
3.474, 25.6, 23.7, 0 0 2
3.005, 29.7, 25.7, 2 0 -2
2.768, 32.3, 45.2, 2 0 2
2.569, 34.9, 100.0, 3 1 0
2.548, 35.2, 81.1, 1 1 -2
2.161, 41.8, 17.5, 4 0 -2
2.003, 45.3, 28.5, 3 1 2
1.935, 46.9, 18.8, 0 2 0
1.586, 58.2, 20.0, 2 2 2
1.547, 59.8, 28.4, 1 1 4
1.486, 62.5, 17.3, 6 0 2

Structural model:
a b c (Å): 10.331 3.871 6.976
angles (deg): 90.00 95.06 90.00
Space group C2/m (No. 12)
One atom of each set of equivalent atoms:
Sm 0.138 0.000 0.341
B 0.070 0.500 0.561
Te 0.152 0.000 0.817

---

(13)
This entry pairs a crystal structure of SmThB12 with its simulated XRD peak list. Radiation: λ = 1.5418 Å (Cu Kα). Structure: a crystal structure in Alexandria, relaxed with PBE.
Intensities are scaled so that the largest is 100.

Peak list (12 most intense, 2θ from 10° to 90°, sorted by position)
d/Å, two_theta, I/Imax, (hkl)
4.116, 21.6, 75.2, 2 0 0
2.911, 30.7, 100.0, 2 2 0
2.377, 37.9, 41.9, 2 2 2
2.058, 44.0, 21.2, 4 0 0
1.841, 49.5, 51.5, 4 2 0
1.680, 54.6, 30.7, 4 2 2
1.455, 64.0, 10.9, 4 4 0
1.372, 68.4, 28.1, 4 4 2
1.302, 72.6, 20.0, 6 2 0
1.241, 76.8, 13.8, 6 2 2
1.142, 85.0, 9.6, 6 4 0
1.100, 89.0, 19.5, 6 4 2

Structural model:
a b c (Å): 8.232 8.232 8.232
angles (deg): 90.00 90.00 90.00
Space group Fm-3m (No. 225)
One atom of each set of equivalent atoms:
Sm 0.000 0.000 0.000
Th 0.000 0.000 0.500
B 0.099 0.250 0.250